# Tb2Dy6Ho3
Theoretical powder diffraction line list, CuKα. Input: a DFT-relaxed cell (GGA-PBE, Alexandria).
Intensities are scaled so that the largest is 100.

Crystal structure
abc: 3.5338 3.5338 94.9603
angles: 90.00 90.00 120.00
Space group R-3m (No. 166, hexagonal axes)
Inequivalent atoms, fractional coordinates:
Tb 0.0000 0.0000 0.0456 (multiplicity 6)
Dy 0.0000 0.0000 0.1365 (multiplicity 6)
Dy 0.0000 0.0000 0.3182 (multiplicity 6)
Dy 0.0000 0.0000 0.4094 (multiplicity 6)
Ho 0.0000 0.0000 0.2271 (multiplicity 6)
Ho 0.0000 0.0000 0.5000 (multiplicity 3)

Largest 7 diffraction maxima, low angle first, 5° ≤ 2θ ≤ 70°:
d_spacing	intensity	index
2.883	100	0 1 11
2.497	51	1 0 22
1.765	36	1 1 0
1.506	32	2 0 11
1.504	11	1 0 55
1.442	9	0 2 22
1.439	3	0 0 66

# Tb15Dy4Ho
Theoretical powder diffraction line list, CuKα. Input: a DFT-relaxed cell (GGA-PBE, Alexandria).
Intensities are scaled so that the largest is 100.

Crystal structure
abc: 5.0197 5.0197 25.0935
angles: 90.00 90.00 90.00
Space group P4/mmm (No. 123)
Inequivalent atoms, fractional coordinates:
Tb 0.0000 0.0000 0.0000 (multiplicity 1)
Tb 0.0000 0.0000 0.2000 (multiplicity 2)
Tb 0.0000 0.0000 0.4001 (multiplicity 2)
Tb 0.0000 0.5000 0.0999 (multiplicity 4)
Tb 0.0000 0.5000 0.3001 (multiplicity 4)
Tb 0.0000 0.5000 0.5000 (multiplicity 2)
Dy 0.5000 0.5000 0.2000 (multiplicity 2)
Dy 0.5000 0.5000 0.4001 (multiplicity 2)
Ho 0.5000 0.5000 0.0000 (multiplicity 1)

Largest 5 diffraction maxima, low angle first, 5° ≤ 2θ ≤ 70°:
d_spacing	intensity	index
2.898	100	1 1 5
2.510	51	2 0 0
1.775	36	2 2 0
1.513	43	3 1 5
1.449	12	2 2 10

# Tb2DyHo4
Theoretical powder diffraction line list, CuKα. Input: a DFT-relaxed cell (GGA-PBE, Alexandria).
Intensities are scaled so that the largest is 100.

Crystal structure
abc: 6.0045 6.5542 11.5147
angles: 90.00 104.68 90.00
Space group P2_1/m (No. 11)
Inequivalent atoms, fractional coordinates:
Tb 0.1002 0.2500 0.4940 (multiplicity 2)
Tb 0.3443 0.7500 0.0553 (multiplicity 2)
Dy 0.4756 0.7500 0.6422 (multiplicity 2)
Ho 0.1528 0.0049 0.7892 (multiplicity 4)
Ho 0.2188 0.2500 0.0739 (multiplicity 2)
Ho 0.3513 0.7500 0.3405 (multiplicity 2)

Largest 8 diffraction maxima, low angle first, 5° ≤ 2θ ≤ 70°:
d_spacing	intensity	index
3.277	20	0 2 0
3.002	39	2 0 -1
2.853	36	1 2 -1
2.822	100	1 0 3
2.803	58	1 0 -4
2.682	64	1 2 -2
2.655	34	2 1 0
2.647	25	2 1 -2

# Tb8Dy4Ho
Theoretical powder diffraction line list, CuKα. Input: a DFT-relaxed cell (GGA-PBE, Alexandria).
Intensities are scaled so that the largest is 100.

Crystal structure
abc: 7.4224 11.2896 10.2944
angles: 90.00 90.00 90.00
Space group Cmmm (No. 65)
Inequivalent atoms, fractional coordinates:
Tb 0.0000 0.2382 0.1954 (multiplicity 8)
Tb 0.2184 0.5000 0.2867 (multiplicity 8)
Dy 0.0000 0.0000 0.0000 (multiplicity 2)
Dy 0.0000 0.5000 0.0000 (multiplicity 2)
Dy 0.2500 0.2500 0.5000 (multiplicity 4)
Ho 0.0000 0.0000 0.5000 (multiplicity 2)

Largest 8 diffraction maxima, low angle first, 5° ≤ 2θ ≤ 70°:
d_spacing	intensity	index
3.491	21	2 0 1
2.932	40	0 2 3
2.822	37	0 4 0
2.656	100	2 2 2
2.574	12	0 0 4
1.800	13	2 0 5
1.596	21	2 6 2
1.518	15	2 4 5

# Tb8Dy3Ho3
Theoretical powder diffraction line list, CuKα. Input: a DFT-relaxed cell (GGA-PBE, Alexandria).
Intensities are scaled so that the largest is 100.

Crystal structure
abc: 5.5924 10.7366 14.8626
angles: 90.00 90.00 90.00
Space group Immm (No. 71)
Inequivalent atoms, fractional coordinates:
Tb 0.0000 0.1586 0.2224 (multiplicity 8)
Tb 0.0000 0.3404 0.3964 (multiplicity 8)
Dy 0.0000 0.0000 0.5000 (multiplicity 2)
Dy 0.0000 0.5000 0.1809 (multiplicity 4)
Ho 0.0000 0.0000 0.0000 (multiplicity 2)
Ho 0.0000 0.2982 0.0000 (multiplicity 4)

Largest 8 diffraction maxima, low angle first, 5° ≤ 2θ ≤ 70°:
d_spacing	intensity	index
3.051	10	1 2 3
2.974	23	1 1 4
2.901	19	0 3 3
2.794	100	2 0 0
2.625	34	1 0 5
2.013	13	2 3 3
1.614	13	3 3 2
1.478	10	1 6 5

# Tb2Dy9Ho3
Theoretical powder diffraction line list, CuKα. Input: a DFT-relaxed cell (GGA-PBE, Alexandria).
Intensities are scaled so that the largest is 100.

Crystal structure
abc: 6.3261 8.7533 9.1654
angles: 106.08 105.06 104.17
Space group P1 (No. 1)
Inequivalent atoms, fractional coordinates:
Tb 0.0000 0.0000 0.0000 (multiplicity 1)
Tb 0.1247 0.4225 0.0569 (multiplicity 1)
Dy 0.0316 0.4794 0.4186 (multiplicity 1)
Dy 0.1263 0.9142 0.6474 (multiplicity 1)
Dy 0.3141 0.3702 0.7323 (multiplicity 1)
Dy 0.4520 0.2983 0.3809 (multiplicity 1)
Dy 0.5479 0.7344 0.6101 (multiplicity 1)
Dy 0.5752 0.2103 0.0285 (multiplicity 1)
Dy 0.6856 0.6386 0.2468 (multiplicity 1)
Dy 0.7204 0.1460 0.6815 (multiplicity 1)
Dy 0.8570 0.0669 0.3471 (multiplicity 1)
Ho 0.2670 0.8448 0.2982 (multiplicity 1)
Ho 0.4484 0.7917 0.9704 (multiplicity 1)
Ho 0.8916 0.5728 0.7774 (multiplicity 1)

Largest 8 diffraction maxima, low angle first, 5° ≤ 2θ ≤ 70°:
d_spacing	intensity	index
2.950	57	0 1 -3
2.878	63	2 0 -2
2.835	100	1 2 0
2.825	97	1 -3 1
2.783	35	-2 1 2
2.692	57	-1 2 2
2.668	84	2 -1 1
1.567	36	3 -4 2

# Tb2DyHo
Theoretical powder diffraction line list, CuKα. Input: a DFT-relaxed cell (GGA-PBE, Alexandria).
Intensities are scaled so that the largest is 100.

Crystal structure
abc: 5.6178 7.2440 6.2638
angles: 90.00 90.00 90.00
Space group Pmmn (No. 59, origin choice 2)
Inequivalent atoms, fractional coordinates:
Tb 0.2500 0.0002 0.1671 (multiplicity 4)
Dy 0.2500 0.2500 0.6659 (multiplicity 2)
Ho 0.2500 0.7500 0.6662 (multiplicity 2)

Largest 8 diffraction maxima, low angle first, 5° ≤ 2θ ≤ 70°:
d_spacing	intensity	index
3.134	24	0 2 1
2.809	24	2 0 0
2.737	100	1 0 2
2.092	16	2 2 1
1.810	20	0 4 0
1.608	20	3 0 2
1.521	23	2 4 0
1.510	17	1 4 2

# Tb4Dy4Ho
Theoretical powder diffraction line list, CuKα. Input: a DFT-relaxed cell (GGA-PBE, Alexandria).
Intensities are scaled so that the largest is 100.

Crystal structure
abc: 10.6276 10.6276 5.0001
angles: 90.00 90.00 90.00
Space group I4/mmm (No. 139)
Inequivalent atoms, fractional coordinates:
Tb 0.1666 0.1666 0.0000 (multiplicity 8)
Dy 0.0000 0.3334 0.5000 (multiplicity 8)
Ho 0.0000 0.0000 0.5000 (multiplicity 2)

Largest 5 diffraction maxima, low angle first, 5° ≤ 2θ ≤ 70°:
d_spacing	intensity	index
2.891	100	3 0 1
2.503	51	3 3 0
1.770	36	6 0 0
1.510	43	6 3 1
1.445	12	6 0 2

# TbDy5Ho3
Theoretical powder diffraction line list, CuKα. Input: a DFT-relaxed cell (GGA-PBE, Alexandria).
Intensities are scaled so that the largest is 100.

Crystal structure
abc: 7.1861 17.2564 9.1826
angles: 90.00 90.00 90.00
Space group Imma (No. 74)
Inequivalent atoms, fractional coordinates:
Tb 0.0000 0.2500 0.0506 (multiplicity 4)
Dy 0.0000 0.2500 0.4130 (multiplicity 4)
Dy 0.2482 0.0869 0.0700 (multiplicity 16)
Ho 0.0000 0.0658 0.7487 (multiplicity 8)
Ho 0.2500 0.2500 0.7500 (multiplicity 4)

Largest 8 diffraction maxima, low angle first, 5° ≤ 2θ ≤ 70°:
d_spacing	intensity	index
3.014	59	0 1 3
2.892	100	2 3 1
2.876	61	0 6 0
2.689	64	2 2 2
2.366	29	2 4 2
2.290	33	0 5 3
1.715	19	2 8 2
1.573	31	2 3 5

# Tb2Dy7Ho4
Theoretical powder diffraction line list, CuKα. Input: a DFT-relaxed cell (GGA-PBE, Alexandria).
Intensities are scaled so that the largest is 100.

Crystal structure
abc: 6.0350 6.0350 13.1613
angles: 90.00 90.00 120.00
Space group P-31m (No. 162)
Inequivalent atoms, fractional coordinates:
Tb 0.3333 0.6667 0.0000 (multiplicity 2)
Dy 0.0000 0.0000 0.0000 (multiplicity 1)
Dy 0.0000 0.3573 0.2170 (multiplicity 6)
Ho 0.0000 0.0000 0.3937 (multiplicity 2)
Ho 0.3333 0.6667 0.5000 (multiplicity 2)

Largest 8 diffraction maxima, low angle first, 5° ≤ 2θ ≤ 70°:
d_spacing	intensity	index
3.290	20	0 0 4
3.017	15	1 1 0
2.941	45	1 1 1
2.784	15	1 0 4
2.743	100	2 -1 2
2.486	31	1 1 3
1.774	17	2 -1 6
1.742	30	3 0 0

# Tb2Dy5Ho4
Theoretical powder diffraction line list, CuKα. Input: a DFT-relaxed cell (GGA-PBE, Alexandria).
Intensities are scaled so that the largest is 100.

Crystal structure
abc: 3.5266 8.6523 11.7127
angles: 75.87 81.40 89.98
Space group P-1 (No. 2)
Inequivalent atoms, fractional coordinates:
Tb 0.0902 0.2269 0.3184 (multiplicity 2)
Dy 0.0000 0.5000 0.5000 (multiplicity 1)
Dy 0.2729 0.6825 0.9547 (multiplicity 2)
Dy 0.3640 0.4086 0.7728 (multiplicity 2)
Ho 0.1814 0.9544 0.1363 (multiplicity 2)
Ho 0.4542 0.1363 0.5914 (multiplicity 2)

Largest 8 diffraction maxima, low angle first, 5° ≤ 2θ ≤ 70°:
d_spacing	intensity	index
2.883	100	0 3 1
2.498	34	0 2 -3
2.494	17	1 2 3
1.766	30	1 4 0
1.763	6	2 0 1
1.508	14	1 3 -4
1.505	28	2 3 2
1.442	12	0 6 2

# Tb7Dy3Ho2
Theoretical powder diffraction line list, CuKα. Input: a DFT-relaxed cell (GGA-PBE, Alexandria).
Intensities are scaled so that the largest is 100.

Crystal structure
abc: 5.6762 37.6003 3.5777
angles: 90.00 90.00 90.00
Space group Cmmm (No. 65)
Inequivalent atoms, fractional coordinates:
Tb 0.0000 0.0000 0.0000 (multiplicity 2)
Tb 0.0000 0.0722 0.5000 (multiplicity 4)
Tb 0.0000 0.2312 0.0000 (multiplicity 4)
Tb 0.0000 0.4077 0.0000 (multiplicity 4)
Dy 0.0000 0.3152 0.5000 (multiplicity 4)
Dy 0.0000 0.5000 0.5000 (multiplicity 2)
Ho 0.0000 0.1478 0.0000 (multiplicity 4)

Largest 8 diffraction maxima, low angle first, 5° ≤ 2θ ≤ 70°:
d_spacing	intensity	index
2.928	41	1 11 0
2.841	84	2 0 0
2.808	100	1 5 1
2.637	36	1 7 1
2.577	28	1 13 0
2.010	19	2 8 1
1.788	24	0 0 2
1.633	20	3 5 1

# Tb6Dy8Ho
Theoretical powder diffraction line list, CuKα. Input: a DFT-relaxed cell (GGA-PBE, Alexandria).
Intensities are scaled so that the largest is 100.

Crystal structure
abc: 9.0045 9.0045 20.5034
angles: 90.00 90.00 120.00
Space group R-3 (No. 148, hexagonal axes)
Inequivalent atoms, fractional coordinates:
Tb 0.0619 0.2476 0.2078 (multiplicity 18)
Dy 0.0000 0.0000 0.0768 (multiplicity 6)
Dy 0.0815 0.5523 0.3078 (multiplicity 18)
Ho 0.0000 0.0000 0.5000 (multiplicity 3)

Largest 8 diffraction maxima, low angle first, 5° ≤ 2θ ≤ 70°:
d_spacing	intensity	index
2.917	18	3 -1 1
2.830	100	3 -2 2
2.742	29	1 0 7
2.555	12	2 1 4
2.430	14	0 3 3
1.713	11	0 3 9
1.652	10	5 -1 3
1.527	11	5 -2 7